(1)
NdHo3Sc5: calculated X-ray diffraction stick pattern (Cu Kα), based on the GGA-PBE geometry in Alexandria.

The 8 most intense peaks (2θ = 15–90°), most intense first:
Position (°2θ)	intensity	index
30.47	1000	2 2 0
32.95	934	2 0 4
24.76	924	0 0 4
39.65	599	3 2 1
45.53	431	4 0 2
69.20	257	4 4 4
43.59	211	2 0 6
63.42	206	4 4 0

Atomic structure:
```
data_NdHo3Sc5
_cell_length_a 8.292
_cell_length_b 8.292
_cell_length_c 14.411
_cell_angle_alpha 90.00
_cell_angle_beta 90.00
_cell_angle_gamma 90.00
_space_group_name_H-M_alt 'I 4/m c m'
_space_group_IT_number 140
_space_group_name_Hall '-I 4 2c'
loop_
_atom_site_label
_atom_site_type_symbol
_atom_site_fract_x
_atom_site_fract_y
_atom_site_fract_z
Nd1 Nd 0.000 0.500 0.250
Ho1 Ho 0.000 0.000 0.250
Ho2 Ho 0.121 0.379 0.000
Sc1 Sc 0.000 0.000 0.000
Sc2 Sc 0.203 0.297 0.365
```


(2)
U3Cu2S7: calculated X-ray diffraction stick pattern (Cu Kα), based on the GGA-PBE geometry in Alexandria.

The 8 most intense peaks (2θ = 15–90°), most intense first:
Position (°2θ)	intensity	index
26.43	1000	2 0 1
42.72	496	1 2 2
28.21	419	1 2 0
18.84	416	1 0 1
37.22	376	2 2 0
35.84	324	3 0 1
52.63	253	1 4 1
31.41	252	0 0 2

Atomic structure:
```
data_U3Cu2S7
_cell_length_a 9.6628
_cell_length_b 9.6628
_cell_length_c 5.6968
_cell_angle_alpha 90.00
_cell_angle_beta 90.00
_cell_angle_gamma 120.00
_space_group_name_H-M_alt 'P 63'
_space_group_IT_number 173
_space_group_name_Hall 'P 6c'
loop_
_atom_site_label
_atom_site_type_symbol
_atom_site_fract_x
_atom_site_fract_y
_atom_site_fract_z
U1 U 0.1519 0.3799 0.0000
Cu1 Cu 0.0000 0.0000 0.4676
Cu2 Cu 0.3333 0.6667 0.6200
S1 S 0.0794 0.5659 0.7513
S2 S 0.1090 0.2621 0.4829
S3 S 0.3333 0.6667 0.2218
```


(3)
Ho5BiP4: calculated X-ray diffraction stick pattern (Cu Kα), based on the GGA-PBE geometry in Alexandria.

The 8 most intense peaks (2θ = 15–90°), most intense first:
Position (°2θ)	intensity	index
31.07	1000	3 1 -2
30.89	519	2 0 2
44.53	370	5 1 0
44.24	356	1 1 -4
27.00	260	1 1 1
45.09	209	0 2 0
55.66	196	2 2 2
26.68	174	4 0 -1

Atomic structure:
```
data_Ho5BiP4
_cell_length_a 13.605
_cell_length_b 4.021
_cell_length_c 10.115
_cell_angle_alpha 90.00
_cell_angle_beta 119.89
_cell_angle_gamma 90.00
_space_group_name_H-M_alt 'C 1 2/m 1'
_space_group_IT_number 12
_space_group_name_Hall '-C 2y'
loop_
_atom_site_label
_atom_site_type_symbol
_atom_site_fract_x
_atom_site_fract_y
_atom_site_fract_z
Ho1 Ho 0.000 0.000 0.000
Ho2 Ho 0.111 0.500 0.384
Ho3 Ho 0.208 0.000 0.818
Bi1 Bi 0.000 0.000 0.500
P1 P 0.097 0.500 0.899
P2 P 0.203 0.000 0.294
```


(4)
PmTh4N5: calculated X-ray diffraction stick pattern (Cu Kα), based on the GGA-PBE geometry in Alexandria.

The 8 most intense peaks (2θ = 15–90°), most intense first:
Position (°2θ)	intensity	index
29.97	1000	2 1 1
34.75	669	1 3 0
49.96	480	4 2 0
59.39	312	5 0 1
81.20	200	6 3 1
62.29	165	4 2 2
59.29	158	2 1 3
83.83	146	7 1 0

Atomic structure:
```
data_PmTh4N5
_cell_length_a 8.159
_cell_length_b 8.159
_cell_length_c 5.171
_cell_angle_alpha 90.00
_cell_angle_beta 90.00
_cell_angle_gamma 90.00
_space_group_name_H-M_alt 'I 4/m'
_space_group_IT_number 87
_space_group_name_Hall '-I 4'
loop_
_atom_site_label
_atom_site_type_symbol
_atom_site_fract_x
_atom_site_fract_y
_atom_site_fract_z
Pm1 Pm 0.000 0.000 0.000
Th1 Th 0.101 0.299 0.500
N1 N 0.000 0.000 0.500
N2 N 0.102 0.305 0.000
```


(5)
Pu2Al3Ga5: calculated X-ray diffraction stick pattern (Cu Kα), based on the GGA-PBE geometry in Alexandria.

The 8 most intense peaks (2θ = 15–90°), most intense first:
Position (°2θ)	intensity	index
32.77	1000	3 2 1
34.08	837	2 0 2
33.92	822	2 4 0
22.33	799	1 2 1
42.08	673	0 4 2
47.74	463	5 2 1
16.68	254	2 0 0
54.44	250	3 2 3

Atomic structure:
```
data_Pu2Al3Ga5
_cell_length_a 10.628
_cell_length_b 12.186
_cell_length_c 6.056
_cell_angle_alpha 90.00
_cell_angle_beta 90.00
_cell_angle_gamma 90.00
_space_group_name_H-M_alt 'I b a m'
_space_group_IT_number 72
_space_group_name_Hall '-I 2 2c'
loop_
_atom_site_label
_atom_site_type_symbol
_atom_site_fract_x
_atom_site_fract_y
_atom_site_fract_z
Pu1 Pu 0.241 0.126 0.000
Al1 Al 0.000 0.500 0.250
Al2 Al 0.124 0.132 0.500
Ga1 Ga 0.000 0.000 0.250
Ga2 Ga 0.000 0.266 0.250
Ga3 Ga 0.147 0.384 0.000
```


(6)
Nb12VGa6: calculated X-ray diffraction stick pattern (Cu Kα), based on the GGA-PBE geometry in Alexandria.

The 8 most intense peaks (2θ = 15–90°), most intense first:
Position (°2θ)	intensity	index
39.28	1000	4 -3 1
39.16	776	0 3 3
41.46	716	4 -1 2
41.28	665	3 -1 4
38.91	567	0 1 5
31.83	322	3 0 0
74.18	244	2 5 3
69.34	194	5 -4 6

Atomic structure:
```
data_Nb12VGa6
_cell_length_a 9.7278
_cell_length_b 9.7278
_cell_length_c 12.0348
_cell_angle_alpha 90.00
_cell_angle_beta 90.00
_cell_angle_gamma 120.00
_space_group_name_H-M_alt 'R -3'
_space_group_IT_number 148
_space_group_name_Hall '-R 3'
loop_
_atom_site_label
_atom_site_type_symbol
_atom_site_fract_x
_atom_site_fract_y
_atom_site_fract_z
Nb1 Nb 0.0510 0.1848 0.3099
Nb2 Nb 0.0693 0.8438 0.9166
V1 V 0.0000 0.0000 0.5000
Ga1 Ga 0.0341 0.4442 0.2091
```


(7)
Sr8MgCu2: calculated X-ray diffraction stick pattern (Cu Kα), based on the GGA-PBE geometry in Alexandria.

The 8 most intense peaks (2θ = 15–90°), most intense first:
Position (°2θ)	intensity	index
28.17	1000	0 4 1
28.47	725	3 1 -1
30.38	707	2 4 0
26.06	645	2 0 1
31.58	533	0 2 2
33.11	468	3 3 0
28.90	445	1 1 -2
26.22	415	1 3 1

Atomic structure:
```
data_Sr8MgCu2
_cell_length_a 10.020
_cell_length_b 14.792
_cell_length_c 6.334
_cell_angle_alpha 90.00
_cell_angle_beta 104.28
_cell_angle_gamma 90.00
_space_group_name_H-M_alt 'C 1 m 1'
_space_group_IT_number 8
_space_group_name_Hall 'C -2y'
loop_
_atom_site_label
_atom_site_type_symbol
_atom_site_fract_x
_atom_site_fract_y
_atom_site_fract_z
Sr1 Sr 0.000 0.000 0.000
Sr2 Sr 0.077 0.369 0.784
Sr3 Sr 0.183 0.131 0.613
Sr4 Sr 0.260 0.500 0.396
Sr5 Sr 0.380 0.244 0.198
Mg1 Mg 0.380 0.000 0.202
Cu1 Cu 0.380 0.313 0.697
```


(8)
Y2Er3Sc2: calculated X-ray diffraction stick pattern (Cu Kα), based on the GGA-PBE geometry in Alexandria.

The 8 most intense peaks (2θ = 15–90°), most intense first:
Position (°2θ)	intensity	index
29.90	1000	3 1 0
35.55	756	3 2 1
23.05	486	2 1 1
32.83	382	2 2 2
60.38	336	5 2 3
49.16	300	4 1 3
53.08	241	5 1 2
40.50	208	4 1 1

Atomic structure:
```
data_Y2Er3Sc2
_cell_length_a 9.450
_cell_length_b 9.450
_cell_length_c 9.450
_cell_angle_alpha 90.00
_cell_angle_beta 90.00
_cell_angle_gamma 90.00
_space_group_name_H-M_alt 'I 21 3'
_space_group_IT_number 199
_space_group_name_Hall 'I 2b 2c 3'
loop_
_atom_site_label
_atom_site_type_symbol
_atom_site_fract_x
_atom_site_fract_y
_atom_site_fract_z
Y1 Y 0.098 0.402 0.598
Er1 Er 0.000 0.250 0.935
Sc1 Sc 0.199 0.199 0.199
```


(9)
Pu3PSe2: calculated X-ray diffraction stick pattern (Cu Kα), based on the GGA-PBE geometry in Alexandria.

The 8 most intense peaks (2θ = 15–90°), most intense first:
Position (°2θ)	intensity	index
30.87	1000	0 2 0
44.26	628	2 0 0
26.65	618	1 1 0
52.45	210	1 3 0
73.16	174	3 0 3
55.01	135	2 2 0
81.53	133	2 4 0
54.80	132	0 2 6

Atomic structure:
```
data_Pu3PSe2
_cell_length_a 4.089
_cell_length_b 5.782
_cell_length_c 12.332
_cell_angle_alpha 90.00
_cell_angle_beta 90.00
_cell_angle_gamma 90.00
_space_group_name_H-M_alt 'I m m m'
_space_group_IT_number 71
_space_group_name_Hall '-I 2 2'
loop_
_atom_site_label
_atom_site_type_symbol
_atom_site_fract_x
_atom_site_fract_y
_atom_site_fract_z
Pu1 Pu 0.000 0.000 0.000
Pu2 Pu 0.000 0.000 0.342
P1 P 0.000 0.500 0.000
Se1 Se 0.000 0.500 0.329
```


(10)
Na2SrCa6: calculated X-ray diffraction stick pattern (Cu Kα), based on the GGA-PBE geometry in Alexandria.

The 8 most intense peaks (2θ = 15–90°), most intense first:
Position (°2θ)	intensity	index
30.50	1000	1 0 5
29.04	996	1 0 4
26.27	614	1 0 0
27.56	530	0 0 9
54.79	411	1 1 9
38.45	407	1 0 9
46.36	368	1 1 0
51.54	258	1 0 14

Atomic structure:
```
data_Na2SrCa6
_cell_length_a 3.9169
_cell_length_b 3.9169
_cell_length_c 29.1256
_cell_angle_alpha 90.00
_cell_angle_beta 90.00
_cell_angle_gamma 120.00
_space_group_name_H-M_alt 'P -6 m 2'
_space_group_IT_number 187
_space_group_name_Hall 'P -6 2'
loop_
_atom_site_label
_atom_site_type_symbol
_atom_site_fract_x
_atom_site_fract_y
_atom_site_fract_z
Na1 Na 0.0000 0.0000 0.1681
Sr1 Sr 0.6667 0.3333 0.5000
Ca1 Ca 0.0000 0.0000 0.3840
Ca2 Ca 0.6667 0.3333 0.0617
Ca3 Ca 0.6667 0.3333 0.2754
```


(11)
LiBeBr: calculated X-ray diffraction stick pattern (Cu Kα), based on the GGA-PBE geometry in Alexandria.

The 8 most intense peaks (2θ = 15–90°), most intense first:
Position (°2θ)	intensity	index
15.10	1000	0 0 2
30.93	686	1 1 1
37.93	547	1 1 3
29.49	293	0 2 0
33.29	287	0 2 2
49.41	199	1 1 5
30.47	188	0 0 4
58.02	154	1 3 3

Atomic structure:
```
data_LiBeBr
_cell_length_a 3.427
_cell_length_b 6.057
_cell_length_c 11.736
_cell_angle_alpha 90.00
_cell_angle_beta 90.00
_cell_angle_gamma 90.00
_space_group_name_H-M_alt 'F m m 2'
_space_group_IT_number 42
_space_group_name_Hall 'F 2 -2'
loop_
_atom_site_label
_atom_site_type_symbol
_atom_site_fract_x
_atom_site_fract_y
_atom_site_fract_z
Li1 Li 0.000 0.000 0.000
Be1 Be 0.000 0.000 0.340
Br1 Br 0.000 0.000 0.709
```


(12)
TbDyZnGe: calculated X-ray diffraction stick pattern (Cu Kα), based on the GGA-PBE geometry in Alexandria.

The 8 most intense peaks (2θ = 15–90°), most intense first:
Position (°2θ)	intensity	index
35.71	1000	2 2 0
64.16	358	4 2 2
51.40	176	4 0 0
25.04	166	2 0 0
86.57	159	6 2 0
75.65	110	4 4 0
58.00	70	4 2 0
44.12	50	2 2 2

Atomic structure:
```
data_TbDyZnGe
_cell_length_a 7.111
_cell_length_b 7.111
_cell_length_c 7.111
_cell_angle_alpha 90.00
_cell_angle_beta 90.00
_cell_angle_gamma 90.00
_space_group_name_H-M_alt 'F -4 3 m'
_space_group_IT_number 216
_space_group_name_Hall 'F -4 2 3'
loop_
_atom_site_label
_atom_site_type_symbol
_atom_site_fract_x
_atom_site_fract_y
_atom_site_fract_z
Tb1 Tb 0.000 0.000 0.000
Dy1 Dy 0.000 0.000 0.500
Zn1 Zn 0.250 0.250 0.250
Ge1 Ge 0.250 0.250 0.750
```


Which formula does entry 2 have? U3Cu2S7


Which formula does entry 9 have? Pu3PSe2